Structure and theoretical X-ray diffraction stick pattern of Pr3Cl (DFT lattice parameters and positions (GGA-PBE); a wavelength of 1.5418 Å).
Peak positions follow from Bragg's law for the DFT cell and can differ from measured ones.

Main lines, in order of rising 2θ (2θ from 10° to 80°):
2θ/deg  I_rel
21.07  16
25.77  7
29.85  23
30.09  30
33.52  100
42.90  17
52.98  18
55.66  23
62.14  22
64.17  15

Structure:
Unit cell a=6.9132 b=6.9132 c=5.9393 alpha=90.00 beta=90.00 gamma=120.00
Space group P6_3/mmc (No. 194)
One atom of each set of equivalent atoms:
Pr1 0.1664 0.3327 0.2500 x6
Cl1 0.3333 0.6667 0.7500 x2

=====

Structure and theoretical X-ray diffraction stick pattern of Pr2Cl3 (DFT lattice parameters and positions (GGA-PBE); a wavelength of 1.5418 Å).
Peak positions follow from Bragg's law for the DFT cell and can differ from measured ones.

Main lines, in order of rising 2θ (2θ from 10° to 80°):
2θ/deg  I_rel
17.40  56
21.90  29
22.95  13
27.25  47
29.63  13
35.91  100
48.16  28
55.08  14
61.51  20
69.48  18

Structure:
Unit cell a=6.5455 b=6.5455 c=23.2538 alpha=90.00 beta=90.00 gamma=120.00
Space group R-3c (No. 167, hexagonal axes)
One atom of each set of equivalent atoms:
Pr1 0.0000 0.0000 0.1674 x12
Cl1 0.0000 0.3328 0.2500 x18

=====

Structure and theoretical X-ray diffraction stick pattern of Pr4Te2PtCl (DFT lattice parameters and positions (GGA-PBE); a wavelength of 1.5418 Å).
Peak positions follow from Bragg's law for the DFT cell and can differ from measured ones.

Main lines, in order of rising 2θ (2θ from 10° to 80°):
2θ/deg  I_rel
12.28  14
28.48  53
28.86  100
40.09  18
40.56  38
41.43  38
42.43  18
50.65  10
51.90  20
59.79  11

Structure:
Unit cell a=7.610 b=4.261 c=7.826 alpha=90.00 beta=108.68 gamma=90.00
Space group P2/m (No. 10)
One atom of each set of equivalent atoms:
Pr1 0.223 0.000 0.219 x2
Pr2 0.249 0.500 0.768 x2
Te1 0.000 0.000 0.500 x1
Te2 0.500 0.500 0.500 x1
Pt1 0.000 0.500 0.000 x1
Cl1 0.500 0.000 0.000 x1

=====

Structure and theoretical X-ray diffraction stick pattern of Pr8Te4Pt3Cl (DFT lattice parameters and positions (GGA-PBE); a wavelength of 1.5418 Å).
Peak positions follow from Bragg's law for the DFT cell and can differ from measured ones.

Main lines, in order of rising 2θ (2θ from 10° to 80°):
2θ/deg  I_rel
28.64  100
40.06  37
41.82  37
48.45  6
51.47  19
59.29  11
65.89  14
68.40  16
75.17  11
76.37  6

Structure:
Unit cell a=8.6399 b=8.6399 c=22.5461 alpha=90.00 beta=90.00 gamma=120.00
Space group R-3m (No. 166, hexagonal axes)
One atom of each set of equivalent atoms:
Pr1 0.0000 0.0000 0.2368 x6
Pr2 0.0124 0.5062 0.7586 x18
Te1 0.0000 0.0000 0.0000 x3
Te2 0.0000 0.5000 0.0000 x9
Pt1 0.0000 0.5000 0.5000 x9
Cl1 0.0000 0.0000 0.5000 x3

=====

Structure and theoretical X-ray diffraction stick pattern of Pr6Rh3Cl2 (DFT lattice parameters and positions (GGA-PBE); a wavelength of 1.5418 Å).
Peak positions follow from Bragg's law for the DFT cell and can differ from measured ones.

Main lines, in order of rising 2θ (2θ from 10° to 80°):
2θ/deg  I_rel
12.13  36
26.09  19
29.73  100
38.14  16
41.47  33
43.60  37
52.56  11
53.67  19
68.47  10
71.54  15

Structure:
Unit cell a=7.188 b=12.458 c=7.681 alpha=90.00 beta=108.19 gamma=90.00
Space group C2/m (No. 12)
One atom of each set of equivalent atoms:
Pr1 0.234 0.000 0.211 x4
Pr2 0.241 0.335 0.215 x8
Rh1 0.000 0.171 0.000 x4
Rh2 0.000 0.500 0.000 x2
Cl1 0.000 0.334 0.500 x4

=====

Structure and theoretical X-ray diffraction stick pattern of Pr3RhCl3 (DFT lattice parameters and positions (GGA-PBE); a wavelength of 1.5418 Å).
Peak positions follow from Bragg's law for the DFT cell and can differ from measured ones.

Main lines, in order of rising 2θ (2θ from 10° to 80°):
2θ/deg  I_rel
10.01  57
12.06  22
12.81  20
29.75  52
29.93  100
40.86  16
41.75  37
43.65  32
44.75  17
54.66  19

Structure:
Unit cell a=8.852 b=4.050 c=12.036 alpha=90.00 beta=93.60 gamma=90.00
Space group P2_1/m (No. 11)
One atom of each set of equivalent atoms:
Pr1 0.110 0.250 0.373 x2
Pr2 0.137 0.250 0.857 x2
Pr3 0.333 0.750 0.622 x2
Rh1 0.113 0.250 0.622 x2
Cl1 0.102 0.250 0.111 x2
Cl2 0.372 0.750 0.868 x2
Cl3 0.392 0.750 0.377 x2

=====

Structure and theoretical X-ray diffraction stick pattern of Pr4RuCl5 (DFT lattice parameters and positions (GGA-PBE); a wavelength of 1.5418 Å).
Peak positions follow from Bragg's law for the DFT cell and can differ from measured ones.

Main lines, in order of rising 2θ (2θ from 10° to 80°):
2θ/deg  I_rel
10.08  55
10.43  96
12.22  18
23.87  20
29.60  100
30.57  43
40.78  22
42.26  30
43.87  49
54.42  16

Structure:
Unit cell a=18.343 b=4.126 c=8.864 alpha=90.00 beta=106.96 gamma=90.00
Space group C2/m (No. 12)
One atom of each set of equivalent atoms:
Pr1 0.002 0.000 0.233 x4
Pr2 0.151 0.500 0.094 x4
Ru1 0.000 0.500 0.000 x2
Cl1 0.000 0.500 0.500 x2
Cl2 0.168 0.000 0.331 x4
Cl3 0.170 0.000 0.868 x4

=====

Structure and theoretical X-ray diffraction stick pattern of Pr3RuCl (DFT lattice parameters and positions (GGA-PBE); a wavelength of 1.5418 Å).
Peak positions follow from Bragg's law for the DFT cell and can differ from measured ones.

Main lines, in order of rising 2θ (2θ from 10° to 80°):
2θ/deg  I_rel
24.96  31
25.19  31
28.43  26
29.14  39
30.80  22
33.70  100
37.65  22
43.55  19
44.92  22
47.67  21

Structure:
Unit cell a=7.630 b=4.036 c=9.419 alpha=90.00 beta=90.06 gamma=90.00
Space group P2_1/m (No. 11)
One atom of each set of equivalent atoms:
Pr1 0.002 0.250 0.161 x2
Pr2 0.250 0.250 0.571 x2
Pr3 0.498 0.250 0.161 x2
Ru1 0.250 0.250 0.890 x2
Cl1 0.250 0.750 0.324 x2

=====

Number 5 is which compound? Pr6Rh3Cl2